[1]
Theoretical XRD peak list
Compound: PuZn
Radiation: CuKα
Structure: a crystal structure in OQMD, relaxed with GGA-PBE
Kinematic intensities with the Lorentz-polarization factor, no thermal factor.

Structure:
Unit cell a=6.0677 b=4.3472 c=8.3882 alpha=90.00 beta=104.79 gamma=90.00
Element x y z (fractional)
Pu  0.0000  0.0000  0.0000
Pu  0.0364  0.5000  0.8538
Pu  0.3654  0.0000  0.7303
Pu  0.4465  0.5000  0.8760
Pu  0.6779  0.5000  0.5247
Pu  0.7352  0.0000  0.6885
Zn  0.1607  0.5000  0.4894
Zn  0.3102  0.5000  0.2028
Zn  0.3416  0.0000  0.3698
Zn  0.5555  0.0000  0.1411
Zn  0.8288  0.5000  0.1931
Zn  0.9249  0.0000  0.3883

The 10 most intense peaks (2θ = 15–90°), by intensity:
- 2θ 39.24, I 100.0
- 2θ 41.55, I 56.0
- 2θ 32.79, I 45.9
- 2θ 40.94, I 45.4
- 2θ 38.94, I 31.7
- 2θ 31.15, I 29.7
- 2θ 29.62, I 25.5
- 2θ 29.81, I 23.1
- 2θ 53.91, I 23.0
- 2θ 30.14, I 22.8


[2]
Theoretical XRD peak list
Compound: Pr3Er2Se
Radiation: CuKα
Structure: a crystal structure in OQMD, relaxed with GGA-PBE
Kinematic intensities with the Lorentz-polarization factor, no thermal factor.

Structure:
Unit cell a=4.2239 b=4.2239 c=10.7878 alpha=90.00 beta=90.00 gamma=90.00
Element x y z (fractional)
Pr  0.0000  0.0000  0.0000
Pr  0.0000  0.5000  0.5804
Pr  0.5000  0.0000  0.4196
Er  0.0000  0.5000  0.2454
Er  0.5000  0.0000  0.7546
Se  0.5000  0.5000  0.0000

The 10 most intense peaks (2θ = 15–90°), by intensity:
- 2θ 32.71, I 100.0
- 2θ 31.07, I 64.2
- 2θ 54.90, I 46.1
- 2θ 42.82, I 43.9
- 2θ 34.32, I 37.3
- 2θ 60.06, I 33.7
- 2θ 26.81, I 31.4
- 2θ 22.61, I 27.3
- 2θ 29.92, I 25.6
- 2θ 62.16, I 14.5


[3]
Theoretical XRD peak list
Compound: LuNiSnPt
Radiation: CuKα
Structure: a crystal structure in OQMD, relaxed with GGA-PBE
Kinematic intensities with the Lorentz-polarization factor, no thermal factor.

Structure:
Unit cell a=4.4399 b=4.4399 c=8.7432 alpha=90.00 beta=90.00 gamma=120.00
Element x y z (fractional)
Lu  0.3333  0.6667  0.2428
Lu  0.6667  0.3333  0.7572
Ni  0.3333  0.6667  0.9227
Ni  0.6667  0.3333  0.0773
Sn  0.0000  0.0000  0.0000
Sn  0.0000  0.0000  0.5000
Pt  0.3333  0.6667  0.6065
Pt  0.6667  0.3333  0.3935

The 10 most intense peaks (2θ = 15–90°), by intensity:
- 2θ 40.64, I 100.0
- 2θ 38.77, I 95.0
- 2θ 30.97, I 60.3
- 2θ 57.42, I 30.3
- 2θ 72.71, I 29.9
- 2θ 73.95, I 17.4
- 2θ 51.96, I 14.8
- 2θ 68.91, I 13.9
- 2θ 67.97, I 13.7
- 2θ 23.13, I 12.5


[4]
Theoretical XRD peak list
Compound: Zn2Pb2O5
Radiation: CuKα
Structure: a crystal structure in OQMD, relaxed with GGA-PBE
Kinematic intensities with the Lorentz-polarization factor, no thermal factor.

Structure:
Unit cell a=3.8905 b=3.8905 c=7.4858 alpha=90.00 beta=90.00 gamma=90.00
Element x y z (fractional)
Zn  0.0000  0.0000  0.2404
Zn  0.0000  0.0000  0.7596
Pb  0.5000  0.5000  0.0000
Pb  0.5000  0.5000  0.5000
O  0.0000  0.0000  0.5000
O  0.0000  0.5000  0.1772
O  0.0000  0.5000  0.8228
O  0.5000  0.0000  0.1772
O  0.5000  0.0000  0.8228

The 10 most intense peaks (2θ = 15–90°), by intensity:
- 2θ 33.21, I 100.0
- 2θ 32.55, I 46.4
- 2θ 58.50, I 40.5
- 2θ 46.70, I 26.9
- 2θ 22.86, I 26.3
- 2θ 59.76, I 21.7
- 2θ 40.70, I 21.2
- 2θ 69.73, I 12.5
- 2θ 23.77, I 11.3
- 2θ 48.65, I 9.1


[5]
Theoretical XRD peak list
Compound: RbAgSe2
Radiation: CuKα
Structure: a crystal structure in OQMD, relaxed with GGA-PBE
Kinematic intensities with the Lorentz-polarization factor, no thermal factor.

Structure:
Unit cell a=12.9038 b=10.8464 c=8.1265 alpha=84.41 beta=56.78 gamma=38.81
Element x y z (fractional)
Rb  0.0623  0.0623  0.6877
Rb  0.3123  0.3123  0.9377
Rb  0.6877  0.6877  0.0623
Rb  0.9377  0.9377  0.3123
Ag  0.1250  0.1250  0.1250
Ag  0.3750  0.3750  0.3750
Ag  0.6250  0.6250  0.6250
Ag  0.8750  0.8750  0.8750
Se  0.0453  0.3519  0.4371
Se  0.3343  0.5629  0.6481
Se  0.3519  0.0453  0.6657
Se  0.4371  0.6657  0.0453
Se  0.5629  0.3343  0.9547
Se  0.6481  0.9547  0.3343
Se  0.6657  0.4371  0.3519
Se  0.9547  0.6481  0.5629

The 10 most intense peaks (2θ = 15–90°), by intensity:
- 2θ 26.58, I 100.0
- 2θ 40.22, I 78.3
- 2θ 28.21, I 50.9
- 2θ 32.76, I 45.6
- 2θ 29.11, I 45.2
- 2θ 39.83, I 44.6
- 2θ 31.71, I 44.5
- 2θ 64.37, I 34.3
- 2θ 23.63, I 32.6
- 2θ 47.51, I 29.3


[6]
Theoretical XRD peak list
Compound: ErSi2TcNi
Radiation: CuKα
Structure: a crystal structure in OQMD, relaxed with GGA-PBE
Kinematic intensities with the Lorentz-polarization factor, no thermal factor.

Structure:
Unit cell a=5.6901 b=5.6901 c=5.6901 alpha=138.63 beta=138.63 gamma=59.94
Element x y z (fractional)
Er  0.0000  0.0000  0.0000
Si  0.3760  0.3760  0.0000
Si  0.6240  0.6240  0.0000
Tc  0.7500  0.2500  0.5000
Ni  0.2500  0.7500  0.5000

The 10 most intense peaks (2θ = 15–90°), by intensity:
- 2θ 36.48, I 100.0
- 2θ 23.91, I 37.4
- 2θ 35.28, I 36.7
- 2θ 45.11, I 31.8
- 2θ 65.66, I 24.8
- 2θ 51.66, I 22.5
- 2θ 77.56, I 18.3
- 2θ 58.52, I 17.0
- 2θ 59.33, I 14.0
- 2θ 70.95, I 13.7